For LiMnF3, a cell relaxed with GGA+U gives the computed PXRD pattern in this record (Cu Kα (weighted mean of Kα1 and Kα2)).
Kinematic intensities with the Lorentz-polarization factor, no thermal factor.

Top 12 peaks for 2θ from 10° to 90°, in order of falling intensity:
2θ = 17.85°, I = 100.0, hkl 2 0 0
2θ = 39.98°, I = 50.8, hkl 2 3 1
2θ = 28.04°, I = 36.1, hkl 1 2 1
2θ = 13.05°, I = 35.8, hkl 1 1 0
2θ = 56.88°, I = 26.3, hkl 1 3 -3
2θ = 25.18°, I = 23.9, hkl 1 2 -1
2θ = 42.17°, I = 20.2, hkl 4 0 -2
2θ = 32.77°, I = 18.9, hkl 2 0 -2
2θ = 33.21°, I = 17.8, hkl 0 3 1
2θ = 50.03°, I = 16.8, hkl 1 5 0
2θ = 36.58°, I = 16.6, hkl 3 0 -2
2θ = 28.61°, I = 15.6, hkl 3 1 0

Structure:
```
40
Lattice="10.2890 0.0000 0.0000 0.0000 9.2762 0.0000 -1.4773 0.0000 5.5250" Properties=species:S:1:pos:R:3 pbc="T T T"
Li 0.1014 1.5291 1.3525
Li -0.6372 3.1090 4.1150
Li 3.5449 1.5397 3.6002
Li 4.2836 3.0984 0.8377
Li 4.5281 6.1778 4.6874
Li 5.2667 7.7366 1.9248
Li 9.4489 6.1672 1.4100
Li 8.7102 7.7472 4.1726
Mn 2.5764 0.3672 0.3281
Mn 1.8377 4.2709 3.0906
Mn 2.5825 6.0823 0.2917
Mn 1.8439 7.8321 3.0542
Mn 6.9678 1.4442 2.4708
Mn 6.2291 3.1940 5.2333
Mn 6.9739 5.0053 2.4344
Mn 6.2353 8.9090 5.1969
F -0.2577 1.8377 5.3862
F 0.4810 2.8005 2.6237
F 0.2415 4.7719 4.4796
F 0.9801 9.1425 1.7170
F 1.0549 6.1113 1.8623
F 0.3162 7.8030 4.6248
F 2.5235 0.1073 4.3136
F 3.2621 4.5308 1.5511
F 2.6278 6.1601 4.2104
F 3.3664 7.7543 1.4479
F 3.6228 1.5458 1.6991
F 2.8842 3.0923 4.4617
F 5.9275 6.1839 1.0634
F 5.1888 7.7304 3.8259
F 5.4453 1.5220 4.0772
F 6.1839 3.1162 1.3147
F 5.5496 4.7455 3.9740
F 6.2882 9.1689 1.2114
F 8.4955 1.4732 0.9002
F 7.7568 3.1649 3.6628
F 7.8315 0.1337 3.8080
F 8.5702 4.5044 1.0455
F 8.3307 6.4758 2.9013
F 9.0693 7.4386 0.1388
```